Diffraction record for PuMg2MnO8. The powder diffractogram is theoretical, not measured: it uses the GGA+U geometry in Alexandria and λ = 1.5418 Å (Cu Kα).
Neutral-atom scattering factors, no anomalous dispersion.

Main lines, most intense first (2θ from 10° to 90°):
- (1 1 0), 4.713 Å, 18.8°, I = 100
- (1 1 2), 2.599 Å, 34.5°, I = 66
- (1 1 1), 3.758 Å, 23.7°, I = 59
- (0 2 0), 3.412 Å, 26.1°, I = 50
- (2 0 0), 3.257 Å, 27.4°, I = 42
- (0 0 1), 6.230 Å, 14.2°, I = 41
- (1 3 2), 1.768 Å, 51.7°, I = 34
- (0 2 2), 2.301 Å, 39.2°, I = 32
- (3 1 2), 1.724 Å, 53.1°, I = 28
- (3 3 2), 1.403 Å, 66.7°, I = 19

```
data_PuMg2MnO8
_chemical_formula_sum 'Pu2 Mg4 Mn2 O16'
_cell_length_a 6.5149
_cell_length_b 6.8249
_cell_length_c 6.2304
_cell_angle_alpha 90.00
_cell_angle_beta 90.00
_cell_angle_gamma 90.00
_symmetry_space_group_name_H-M 'C m m m'
_symmetry_Int_Tables_number 65
_symmetry_space_group_name_Hall '-C 2 2'
loop_
_atom_site_label
_atom_site_type_symbol
_atom_site_fract_x
_atom_site_fract_y
_atom_site_fract_z
Pu1 Pu 0.0000 0.0000 0.0000
Mg1 Mg 0.0000 0.5000 0.2631
Mn1 Mn 0.0000 0.0000 0.5000
O1 O 0.0000 0.1878 0.2600
O2 O 0.2033 0.5000 0.0000
O3 O 0.2156 0.5000 0.5000
```